[1]
Diffraction record for KNaH2. The powder X-ray diffraction pattern is simulated, not measured: it uses DFT lattice parameters and positions (GGA-PBE) and copper Kα.

Structure:
```
data_KNaH2
_cell_length_a 3.783
_cell_length_b 3.783
_cell_length_c 5.338
_cell_angle_alpha 90.00
_cell_angle_beta 90.00
_cell_angle_gamma 90.00
_symmetry_space_group_name_H-M 'P 4/m m m'
_symmetry_Int_Tables_number 123
_symmetry_space_group_name_Hall '-P 4 2'
loop_
_atom_site_label
_atom_site_type_symbol
_atom_site_fract_x
_atom_site_fract_y
_atom_site_fract_z
_atom_site_occupancy
K1 K 0.000 0.000 0.000 1
Na1 Na 0.500 0.500 0.500 1
H1 H 0.000 0.000 0.500 1
H2 H 0.500 0.500 0.000 1
```

Most intense lines, 2θ = 5–70°, in order of rising 2θ:
2theta, Rel. int., h k l
16.61, 8, 0 0 1
23.52, 6, 1 0 0
28.93, 100, 1 0 1
33.52, 60, 1 1 0
48.14, 38, 2 0 0
57.11, 25, 2 1 1
57.22, 13, 1 0 3
59.94, 12, 2 0 2



[2]
Diffraction record for Sr2GdGaO5. The powder X-ray diffraction pattern is simulated, not measured: it uses DFT lattice parameters and positions (GGA-PBE) and copper Kα.

Structure:
```
data_Sr2GdGaO5
_cell_length_a 9.546
_cell_length_b 9.607
_cell_length_c 11.352
_cell_angle_alpha 90.00
_cell_angle_beta 90.00
_cell_angle_gamma 90.00
_symmetry_space_group_name_H-M 'F m m m'
_symmetry_Int_Tables_number 69
_symmetry_space_group_name_Hall '-F 2 2'
loop_
_atom_site_label
_atom_site_type_symbol
_atom_site_fract_x
_atom_site_fract_y
_atom_site_fract_z
_atom_site_occupancy
Sr1 Sr 0.000 0.174 0.000 1
Sr2 Sr 0.250 0.250 0.250 1
Gd1 Gd 0.181 0.000 0.500 1
Ga1 Ga 0.000 0.000 0.247 1
O1 O 0.000 0.140 0.358 1
O2 O 0.152 0.000 0.142 1
O3 O 0.250 0.250 0.000 1
```

Most intense lines, 2θ = 5–70°, in order of rising 2θ:
2theta, Rel. int., h k l
30.48, 17, 1 3 1
30.63, 29, 3 1 1
30.75, 100, 2 2 2
31.52, 36, 0 0 4
38.00, 26, 1 3 3
38.12, 35, 3 1 3
50.24, 20, 3 1 5
55.65, 20, 2 2 6



[3]
Diffraction record for BaCaNdSbO6. The powder X-ray diffraction pattern is simulated, not measured: it uses DFT lattice parameters and positions (GGA-PBE) and copper Kα.

Structure:
```
data_BaCaNdSbO6
_cell_length_a 8.589
_cell_length_b 8.589
_cell_length_c 8.589
_cell_angle_alpha 90.00
_cell_angle_beta 90.00
_cell_angle_gamma 90.00
_symmetry_space_group_name_H-M 'F -4 3 m'
_symmetry_Int_Tables_number 216
_symmetry_space_group_name_Hall 'F -4 2 3'
loop_
_atom_site_label
_atom_site_type_symbol
_atom_site_fract_x
_atom_site_fract_y
_atom_site_fract_z
_atom_site_occupancy
Ba1 Ba 0.000 0.000 0.000 1
Ca1 Ca 0.000 0.000 0.500 1
Nd1 Nd 0.250 0.250 0.750 1
Sb1 Sb 0.250 0.250 0.250 1
O1 O 0.017 0.250 0.250 1
```

Most intense lines, 2θ = 5–70°, in order of rising 2θ:
2theta, Rel. int., h k l
17.89, 10, 1 1 1
20.68, 12, 2 0 0
29.41, 100, 2 2 0
34.64, 7, 3 1 1
42.08, 32, 4 0 0
52.17, 40, 4 2 2
61.03, 20, 4 4 0
69.18, 18, 6 2 0



[4]
Diffraction record for Mg16Al12Tc. The powder X-ray diffraction pattern is simulated, not measured: it uses DFT lattice parameters and positions (GGA-PBE) and copper Kα.

Structure:
```
data_Mg16Al12Tc
_cell_length_a 14.4848
_cell_length_b 14.4848
_cell_length_c 9.4128
_cell_angle_alpha 90.00
_cell_angle_beta 90.00
_cell_angle_gamma 120.00
_symmetry_space_group_name_H-M 'R 3 m'
_symmetry_Int_Tables_number 160
_symmetry_space_group_name_Hall 'R 3 -2"'
loop_
_atom_site_label
_atom_site_type_symbol
_atom_site_fract_x
_atom_site_fract_y
_atom_site_fract_z
_atom_site_occupancy
Mg1 Mg 0.0000 0.0000 0.0000 1
Mg2 Mg 0.0164 0.3085 0.2931 1
Mg3 Mg 0.0661 0.5330 0.2037 1
Mg4 Mg 0.1777 0.0889 0.5050 1
Mg5 Mg 0.2138 0.4276 0.7687 1
Al1 Al 0.0006 0.1819 0.8036 1
Al2 Al 0.0642 0.1284 0.2755 1
Al3 Al 0.0758 0.5379 0.7171 1
Tc1 Tc 0.0000 0.0000 0.7160 1
```

Most intense lines, 2θ = 5–70°, in order of rising 2θ:
2theta, Rel. int., h k l
11.75, 58, 1 0 1
12.22, 64, 1 1 0
34.36, 53, 0 4 2
35.78, 97, 3 0 3
36.60, 86, 2 3 2
37.09, 100, 0 5 1
37.25, 57, 3 3 0
41.20, 56, 5 1 1



[5]
Diffraction record for Zr3Ta. The powder X-ray diffraction pattern is simulated, not measured: it uses DFT lattice parameters and positions (GGA-PBE) and copper Kα.

Structure:
```
data_Zr3Ta
_cell_length_a 4.454
_cell_length_b 4.454
_cell_length_c 4.454
_cell_angle_alpha 90.00
_cell_angle_beta 90.00
_cell_angle_gamma 90.00
_symmetry_space_group_name_H-M 'P m -3 m'
_symmetry_Int_Tables_number 221
_symmetry_space_group_name_Hall '-P 4 2 3'
loop_
_atom_site_label
_atom_site_type_symbol
_atom_site_fract_x
_atom_site_fract_y
_atom_site_fract_z
_atom_site_occupancy
Zr1 Zr 0.000 0.000 0.500 1
Ta1 Ta 0.500 0.500 0.500 1
```

Most intense lines, 2θ = 5–70°, in order of rising 2θ:
2theta, Rel. int., h k l
19.93, 10, 1 0 0
28.34, 9, 1 1 0
34.89, 100, 1 1 1
40.51, 49, 2 0 0
45.54, 5, 2 1 0
50.17, 4, 2 1 1
58.62, 33, 2 2 0
62.57, 3, 3 0 0



[6]
Diffraction record for MgZn2. The powder X-ray diffraction pattern is simulated, not measured: it uses DFT lattice parameters and positions (GGA-PBE) and copper Kα.

Structure:
```
data_MgZn2
_cell_length_a 2.954
_cell_length_b 14.806
_cell_length_c 4.642
_cell_angle_alpha 90.00
_cell_angle_beta 90.00
_cell_angle_gamma 90.00
_symmetry_space_group_name_H-M 'C m c m'
_symmetry_Int_Tables_number 63
_symmetry_space_group_name_Hall '-C 2c 2'
loop_
_atom_site_label
_atom_site_type_symbol
_atom_site_fract_x
_atom_site_fract_y
_atom_site_fract_z
_atom_site_occupancy
Mg1 Mg 0.000 0.062 0.250 1
Zn1 Zn 0.000 0.272 0.750 1
Zn2 Zn 0.000 0.383 0.250 1
```

Most intense lines, 2θ = 5–70°, in order of rising 2θ:
2theta, Rel. int., h k l
11.95, 41, 0 2 0
35.41, 23, 1 3 0
38.80, 38, 0 0 2
40.55, 100, 1 3 1
41.44, 43, 0 6 1
47.69, 13, 1 5 1
53.53, 14, 1 3 2
64.87, 14, 1 9 0



[7]
Diffraction record for NiPSe3. The powder X-ray diffraction pattern is simulated, not measured: it uses DFT lattice parameters and positions (GGA-PBE) and copper Kα.

Structure:
```
data_NiPSe3
_cell_length_a 6.160
_cell_length_b 10.677
_cell_length_c 6.932
_cell_angle_alpha 90.00
_cell_angle_beta 107.18
_cell_angle_gamma 90.00
_symmetry_space_group_name_H-M 'C 1 2/m 1'
_symmetry_Int_Tables_number 12
loop_
_symmetry_equiv_pos_as_xyz
'x,y,z'
'-x,-y,-z'
'-x,y,-z'
'x,-y,z'
'x+1/2,y+1/2,z'
'-x+1/2,-y+1/2,-z'
'-x+1/2,y+1/2,-z'
'x+1/2,-y+1/2,z'
loop_
_atom_site_label
_atom_site_type_symbol
_atom_site_fract_x
_atom_site_fract_y
_atom_site_fract_z
_atom_site_occupancy
Ni1 Ni 0.000 0.167 0.000 1
P1 P 0.056 0.500 0.169 1
Se1 Se 0.218 0.000 0.231 1
Se2 Se 0.244 0.179 0.769 1
```

Most intense lines, 2θ = 5–70°, in order of rising 2θ:
2theta, Rel. int., h k l
13.37, 45, 0 0 1
26.92, 24, 0 0 2
30.37, 31, 2 0 0
34.25, 100, 1 3 1
46.99, 30, 2 0 2
51.36, 34, 0 6 0
58.94, 14, 0 6 2
63.19, 15, 2 6 -2



[8]
Diffraction record for ScGaPd. The powder X-ray diffraction pattern is simulated, not measured: it uses DFT lattice parameters and positions (GGA-PBE) and copper Kα.

Structure:
```
data_ScGaPd
_cell_length_a 6.468
_cell_length_b 4.298
_cell_length_c 7.662
_cell_angle_alpha 90.00
_cell_angle_beta 90.00
_cell_angle_gamma 90.00
_symmetry_space_group_name_H-M 'P n m a'
_symmetry_Int_Tables_number 62
loop_
_symmetry_equiv_pos_as_xyz
'x,y,z'
'-x,-y,-z'
'-x+1/2,-y,z+1/2'
'x+1/2,y,-z+1/2'
'x+1/2,-y+1/2,-z+1/2'
'-x+1/2,y+1/2,z+1/2'
'-x,y+1/2,-z'
'x,-y+1/2,z'
loop_
_atom_site_label
_atom_site_type_symbol
_atom_site_fract_x
_atom_site_fract_y
_atom_site_fract_z
_atom_site_occupancy
Sc1 Sc 0.018 0.250 0.201 1
Ga1 Ga 0.225 0.750 0.391 1
Pd1 Pd 0.175 0.250 0.566 1
```

Most intense lines, 2θ = 5–70°, in order of rising 2θ:
2theta, Rel. int., h k l
17.95, 36, 1 0 1
27.56, 46, 2 0 0
34.29, 47, 1 1 2
36.70, 91, 2 1 1
41.11, 100, 0 1 3
42.05, 63, 0 2 0
43.59, 62, 3 0 1
62.20, 32, 3 2 1



[9]
Diffraction record for Gd2MgS4. The powder X-ray diffraction pattern is simulated, not measured: it uses DFT lattice parameters and positions (GGA-PBE) and copper Kα.

Structure:
Lattice parameters (Å, degrees): 11.273 11.273 11.273 90.00 90.00 90.00
Space group Fd-3m (No. 227, origin choice 2)
One atom of each set of equivalent atoms:
Gd 0.000 0.000 0.000 [16 per cell]
Mg 0.125 0.125 0.625 [8 per cell]
S 0.004 0.004 0.246 [32 per cell]

Most intense lines, 2θ = 5–70°, in order of rising 2θ:
2theta, Rel. int., h k l
13.61, 100, 1 1 1
26.22, 96, 3 1 1
27.41, 29, 2 2 2
31.75, 87, 4 0 0
34.69, 26, 3 3 1
41.63, 41, 5 1 1
45.52, 78, 4 4 0
47.73, 26, 5 3 1



[10]
Diffraction record for SrLaAl3O7. The powder X-ray diffraction pattern is simulated, not measured: it uses DFT lattice parameters and positions (GGA-PBE) and copper Kα.

Structure:
```
data_SrLaAl3O7
_cell_length_a 11.235
_cell_length_b 11.268
_cell_length_c 5.288
_cell_angle_alpha 90.00
_cell_angle_beta 90.00
_cell_angle_gamma 90.00
_symmetry_space_group_name_H-M 'C m m 2'
_symmetry_Int_Tables_number 35
loop_
_symmetry_equiv_pos_as_xyz
'x,y,z'
'-x,-y,z'
'-x,y,z'
'x,-y,z'
'x+1/2,y+1/2,z'
'-x+1/2,-y+1/2,z'
'-x+1/2,y+1/2,z'
'x+1/2,-y+1/2,z'
loop_
_atom_site_label
_atom_site_type_symbol
_atom_site_fract_x
_atom_site_fract_y
_atom_site_fract_z
_atom_site_occupancy
Sr1 Sr 0.162 0.000 0.000 1
La1 La 0.000 0.336 0.980 1
Al1 Al 0.000 0.143 0.528 1
Al2 Al 0.142 0.500 0.451 1
Al3 Al 0.250 0.250 0.490 1
O1 O 0.000 0.000 0.656 1
O2 O 0.000 0.151 0.198 1
O3 O 0.000 0.500 0.302 1
O4 O 0.124 0.214 0.681 1
O5 O 0.132 0.500 0.783 1
O6 O 0.208 0.374 0.303 1
```

Most intense lines, 2θ = 5–70°, in order of rising 2θ:
2theta, Rel. int., h k l
16.77, 16, 0 0 1
23.10, 18, 2 0 1
25.02, 16, 1 3 0
28.07, 24, 2 2 1
30.27, 100, 1 3 1
35.69, 16, 4 2 0
42.60, 24, 1 3 2
50.05, 19, 4 2 2



[11]
Diffraction record for CrCl2. The powder X-ray diffraction pattern is simulated, not measured: it uses DFT lattice parameters and positions (GGA-PBE) and copper Kα.

Structure:
```
data_CrCl2
_cell_length_a 6.165
_cell_length_b 6.930
_cell_length_c 3.489
_cell_angle_alpha 90.00
_cell_angle_beta 90.00
_cell_angle_gamma 90.00
_symmetry_space_group_name_H-M 'P n n m'
_symmetry_Int_Tables_number 58
loop_
_symmetry_equiv_pos_as_xyz
'x,y,z'
'-x,-y,-z'
'-x,-y,z'
'x,y,-z'
'x+1/2,-y+1/2,-z+1/2'
'-x+1/2,y+1/2,z+1/2'
'-x+1/2,y+1/2,-z+1/2'
'x+1/2,-y+1/2,z+1/2'
loop_
_atom_site_label
_atom_site_type_symbol
_atom_site_fract_x
_atom_site_fract_y
_atom_site_fract_z
_atom_site_occupancy
Cr1 Cr 0.000 0.000 0.000 1
Cl1 Cl 0.214 0.137 0.500 1
```

Most intense lines, 2θ = 5–70°, in order of rising 2θ:
2theta, Rel. int., h k l
19.27, 100, 1 1 0
29.57, 39, 1 2 0
32.19, 35, 1 1 1
39.46, 22, 1 2 1
41.19, 54, 2 1 1
47.19, 25, 0 3 1
51.64, 18, 3 0 1
61.38, 18, 2 4 0



[12]
Diffraction record for SbAsPd5. The powder X-ray diffraction pattern is simulated, not measured: it uses DFT lattice parameters and positions (GGA-PBE) and copper Kα.

Structure:
Lattice parameters (Å, degrees): 12.419 12.419 12.419 90.00 90.00 90.00
Space group Fd-3m (No. 227, origin choice 2)
One atom of each set of equivalent atoms:
Sb 0.000 0.000 0.000 [16 per cell]
As 0.000 0.000 0.500 [16 per cell]
Pd 0.036 0.036 0.214 [32 per cell]
Pd 0.089 0.375 0.875 [48 per cell]

Most intense lines, 2θ = 5–70°, in order of rising 2θ:
2theta, Rel. int., h k l
35.41, 26, 4 2 2
37.63, 78, 3 3 3
41.11, 100, 4 4 0
43.73, 9, 4 4 2
48.63, 11, 6 2 2
56.95, 16, 7 3 1
63.57, 17, 6 6 0
65.04, 8, 5 5 5



[13]
Diffraction record for Cd2PtRh. The powder X-ray diffraction pattern is simulated, not measured: it uses DFT lattice parameters and positions (GGA-PBE) and copper Kα.

Structure:
```
data_Cd2PtRh
_cell_length_a 6.519
_cell_length_b 6.519
_cell_length_c 6.519
_cell_angle_alpha 90.00
_cell_angle_beta 90.00
_cell_angle_gamma 90.00
_symmetry_space_group_name_H-M 'F m -3 m'
_symmetry_Int_Tables_number 225
_symmetry_space_group_name_Hall '-F 4 2 3'
loop_
_atom_site_label
_atom_site_type_symbol
_atom_site_fract_x
_atom_site_fract_y
_atom_site_fract_z
_atom_site_occupancy
Cd1 Cd 0.250 0.250 0.250 1
Pt1 Pt 0.000 0.000 0.000 1
Rh1 Rh 0.000 0.000 0.500 1
```

Most intense lines, 2θ = 5–70°, in order of rising 2θ:
2theta, Rel. int., h k l
23.64, 6, 1 1 1
27.36, 2, 2 0 0
39.08, 100, 2 2 0
46.19, 3, 3 1 1
48.37, 1, 2 2 2
56.46, 17, 4 0 0
62.06, 1, 3 3 1
63.86, 1, 4 2 0